[1]
Tm5Ni2Ir: computed powder XRD pattern (Cu Kα, 1.54184 Å), based on a PBE-relaxed structure.

```
data_Tm5Ni2Ir
_symmetry_space_group_name_H-M 'I 4/m c m'
_symmetry_Int_Tables_number 140
_symmetry_space_group_name_Hall '-I 4 2c'
_cell_length_a 6.954
_cell_length_b 6.954
_cell_length_c 14.421
_cell_angle_alpha 90.00
_cell_angle_beta 90.00
_cell_angle_gamma 90.00
loop_
_atom_site_label
_atom_site_type_symbol
_atom_site_fract_x
_atom_site_fract_y
_atom_site_fract_z
Tm1 Tm 0.000 0.000 0.000
Tm2 Tm 0.175 0.325 0.146
Ni1 Ni 0.121 0.379 0.500
Ir1 Ir 0.000 0.000 0.250
```

Peak list (10 most intense, 15 to 90 degrees two-theta, sorted by position)
2θ 29.38, I = 21.4, (2 1 1)
2θ 30.75, I = 38.0, (1 1 4)
2θ 34.34, I = 100.0, (2 1 3)
2θ 35.88, I = 76.1, (2 0 4)
2θ 36.55, I = 25.4, (2 2 0)
2θ 41.04, I = 54.7, (3 1 0)
2θ 53.34, I = 16.4, (2 1 7)
2θ 57.95, I = 20.9, (4 1 3)
2θ 62.22, I = 23.7, (3 3 4)
2θ 67.14, I = 15.6, (3 1 8)



[2]
Pa5BAs5: computed powder XRD pattern (Cu Kα, 1.54184 Å), based on a PBE-relaxed structure.

```
data_Pa5BAs5
_symmetry_space_group_name_H-M 'C 1 2/m 1'
_symmetry_Int_Tables_number 12
_cell_length_a 12.770
_cell_length_b 5.680
_cell_length_c 8.010
_cell_angle_alpha 90.00
_cell_angle_beta 108.97
_cell_angle_gamma 90.00
loop_
_symmetry_equiv_pos_as_xyz
'x,y,z'
'-x,-y,-z'
'-x,y,-z'
'x,-y,z'
'x+1/2,y+1/2,z'
'-x+1/2,-y+1/2,-z'
'-x+1/2,y+1/2,-z'
'x+1/2,-y+1/2,z'
loop_
_atom_site_label
_atom_site_type_symbol
_atom_site_fract_x
_atom_site_fract_y
_atom_site_fract_z
Pa1 Pa 0.000 0.000 0.000
Pa2 Pa 0.154 0.500 0.844
Pa3 Pa 0.156 0.500 0.314
B1 B 0.000 0.500 0.000
As1 As 0.000 0.500 0.500
As2 As 0.160 0.000 0.820
As3 As 0.177 0.000 0.336
```

Peak list (10 most intense, 15 to 90 degrees two-theta, sorted by position)
2θ 27.20, I = 100.0, (1 1 -2)
2θ 31.32, I = 76.0, (4 0 -2)
2θ 31.50, I = 80.0, (0 2 0)
2θ 31.71, I = 74.8, (2 0 2)
2θ 45.02, I = 83.0, (4 2 -2)
2θ 45.30, I = 83.4, (2 2 2)
2θ 56.00, I = 28.0, (6 2 0)
2θ 56.22, I = 30.9, (2 2 -4)
2θ 74.65, I = 18.2, (4 4 -2)
2θ 74.88, I = 19.1, (2 4 2)



[3]
Mn4PtRh7: computed powder XRD pattern (Cu Kα, 1.54184 Å), based on a PBE-relaxed structure.

```
data_Mn4PtRh7
_symmetry_space_group_name_H-M 'P -1'
_symmetry_Int_Tables_number 2
_cell_length_a 4.751
_cell_length_b 5.382
_cell_length_c 7.088
_cell_angle_alpha 78.92
_cell_angle_beta 72.19
_cell_angle_gamma 89.83
loop_
_symmetry_equiv_pos_as_xyz
'x,y,z'
'-x,-y,-z'
loop_
_atom_site_label
_atom_site_type_symbol
_atom_site_fract_x
_atom_site_fract_y
_atom_site_fract_z
Mn1 Mn 0.182 0.163 0.329
Mn2 Mn 0.315 0.576 0.670
Pt1 Pt 0.500 0.000 0.000
Rh1 Rh 0.002 0.750 0.995
Rh2 Rh 0.174 0.659 0.340
Rh3 Rh 0.324 0.084 0.659
Rh4 Rh 0.500 0.500 0.000
```

Peak list (10 most intense, 15 to 90 degrees two-theta, sorted by position)
2θ 40.68, I = 100.0, (1 2 0)
2θ 40.79, I = 48.9, (2 0 2)
2θ 40.96, I = 50.9, (0 0 3)
2θ 46.36, I = 33.8, (2 0 -1)
2θ 47.90, I = 31.1, (1 2 3)
2θ 48.05, I = 30.3, (1 -2 2)
2θ 69.05, I = 19.8, (-1 2 4)
2θ 81.99, I = 12.1, (3 2 -1)
2θ 84.41, I = 16.8, (0 4 -2)
2θ 84.69, I = 10.9, (1 2 6)



[4]
LaFe5C4: computed powder XRD pattern (Cu Kα, 1.54184 Å), based on a PBE-relaxed structure.

```
data_LaFe5C4
_symmetry_space_group_name_H-M 'P 4/n m m'
_symmetry_Int_Tables_number 129
_cell_length_a 6.435
_cell_length_b 6.435
_cell_length_c 5.794
_cell_angle_alpha 90.00
_cell_angle_beta 90.00
_cell_angle_gamma 90.00
loop_
_symmetry_equiv_pos_as_xyz
'x,y,z'
'-x,-y,-z'
'-y+1/2,x,z'
'y+1/2,-x,-z'
'-x+1/2,-y+1/2,z'
'x+1/2,y+1/2,-z'
'y,-x+1/2,z'
'-y,x+1/2,-z'
'x+1/2,-y,-z'
'-x+1/2,y,z'
'-y,-x,-z'
'y,x,z'
'-x,y+1/2,-z'
'x,-y+1/2,z'
'y+1/2,x+1/2,-z'
'-y+1/2,-x+1/2,z'
loop_
_atom_site_label
_atom_site_type_symbol
_atom_site_fract_x
_atom_site_fract_y
_atom_site_fract_z
La1 La 0.250 0.750 0.000
Fe1 Fe 0.060 0.060 0.333
Fe2 Fe 0.250 0.250 0.775
C1 C 0.007 0.750 0.388
```

Peak list (10 most intense, 15 to 90 degrees two-theta, sorted by position)
2θ 24.88, I = 69.8, (1 1 1)
2θ 31.82, I = 100.0, (2 0 1)
2θ 34.81, I = 28.6, (2 1 1)
2θ 36.78, I = 54.5, (1 1 2)
2θ 39.62, I = 40.1, (2 2 0)
2θ 41.97, I = 23.9, (2 0 2)
2θ 45.07, I = 44.8, (3 0 1)
2θ 47.05, I = 20.1, (0 0 3)
2θ 55.16, I = 18.0, (3 1 2)
2θ 66.78, I = 23.5, (3 1 3)



[5]
Tb2Ho3Cd2: computed powder XRD pattern (Cu Kα, 1.54184 Å), based on a PBE-relaxed structure.

```
data_Tb2Ho3Cd2
_symmetry_space_group_name_H-M 'R -3 m'
_symmetry_Int_Tables_number 166
_symmetry_space_group_name_Hall '-R 3 2"'
_cell_length_a 5.3678
_cell_length_b 5.3678
_cell_length_c 23.8175
_cell_angle_alpha 90.00
_cell_angle_beta 90.00
_cell_angle_gamma 120.00
loop_
_atom_site_label
_atom_site_type_symbol
_atom_site_fract_x
_atom_site_fract_y
_atom_site_fract_z
Tb1 Tb 0.0000 0.0000 0.0746
Ho1 Ho 0.0000 0.0000 0.3439
Ho2 Ho 0.0000 0.0000 0.5000
Cd1 Cd 0.0000 0.0000 0.2122
```

Peak list (10 most intense, 15 to 90 degrees two-theta, sorted by position)
2θ 26.80, I = 8.8, (0 1 5)
2θ 32.61, I = 94.8, (1 0 7)
2θ 33.39, I = 100.0, (1 1 0)
2θ 47.37, I = 33.4, (0 2 7)
2θ 57.73, I = 20.1, (0 1 14)
2θ 59.18, I = 34.1, (2 1 7)
2θ 59.67, I = 18.7, (3 0 0)
2θ 70.13, I = 11.9, (2 2 0)
2θ 78.23, I = 13.6, (1 2 14)
2θ 79.50, I = 14.5, (1 3 7)



[6]
Tb9Y4In11: computed powder XRD pattern (Cu Kα, 1.54184 Å), based on a PBE-relaxed structure.

```
data_Tb9Y4In11
_symmetry_space_group_name_H-M 'C m m m'
_symmetry_Int_Tables_number 65
_symmetry_space_group_name_Hall '-C 2 2'
_cell_length_a 17.718
_cell_length_b 21.232
_cell_length_c 3.477
_cell_angle_alpha 90.00
_cell_angle_beta 90.00
_cell_angle_gamma 90.00
loop_
_atom_site_label
_atom_site_type_symbol
_atom_site_fract_x
_atom_site_fract_y
_atom_site_fract_z
Tb1 Tb 0.000 0.000 0.000
Tb2 Tb 0.116 0.240 0.000
Tb3 Tb 0.119 0.411 0.000
Y1 Y 0.154 0.083 0.000
In1 In 0.000 0.136 0.500
In2 In 0.000 0.329 0.500
In3 In 0.000 0.500 0.500
In4 In 0.231 0.500 0.500
In5 In 0.242 0.322 0.500
```

Peak list (10 most intense, 15 to 90 degrees two-theta, sorted by position)
2θ 32.38, I = 100.0, (4 6 0)
2θ 32.74, I = 82.2, (4 0 1)
2θ 32.92, I = 14.9, (5 5 0)
2θ 33.70, I = 21.4, (1 5 1)
2θ 36.22, I = 58.5, (0 6 1)
2θ 40.74, I = 21.0, (8 0 0)
2θ 52.64, I = 14.7, (0 0 2)
2θ 55.64, I = 20.9, (8 6 1)
2θ 58.06, I = 15.5, (9 5 1)
2θ 63.16, I = 28.6, (4 6 2)